# 1
For Li2MnF4, the GGA+U geometry in the Materials Project gives the theoretical PXRD pattern in this record (copper Kα).

Top 10 peaks for 10 to 90 degrees two-theta, by intensity:
| two_theta | intensity |
| --- | --- |
| 10.23 | 100 |
| 41.83 | 59 |
| 31.07 | 45 |
| 20.55 | 38 |
| 54.93 | 30 |
| 35.51 | 24 |
| 59.25 | 18 |
| 31.66 | 17 |
| 66.06 | 12 |
| 64.45 | 12 |

Structure:
```
Li2MnF4
1.0
1.6716 0.9651 8.6450
-1.6716 0.9651 8.6450
0.0000 -1.9302 8.6450
Li Mn F
2 1 4
Direct
0.2040 0.2040 0.2040 Li
0.7960 0.7960 0.7960 Li
0.0000 0.0000 0.0000 Mn
0.1260 0.1260 0.1260 F
0.3705 0.3705 0.3705 F
0.6295 0.6295 0.6295 F
0.8740 0.8740 0.8740 F
```

# 2
For LiFeCuO4, the GGA+U geometry in the Materials Project gives the theoretical PXRD pattern in this record (copper Kα).

Top 10 peaks for 10 to 90 degrees two-theta, by intensity:
| two_theta | intensity |
| --- | --- |
| 18.17 | 100 |
| 18.43 | 95 |
| 45.89 | 59 |
| 37.02 | 56 |
| 60.37 | 51 |
| 36.88 | 43 |
| 37.33 | 42 |
| 31.86 | 37 |
| 60.19 | 19 |
| 46.01 | 17 |

Structure:
```
LiFeCuO4
1.0
-2.7712 2.8231 4.8570
2.7712 -2.8231 4.8570
2.7712 2.8231 -4.8570
Li Fe Cu O
2 2 2 8
Direct
0.3953 0.1453 0.2500 Li
0.6047 0.8547 0.7500 Li
0.0000 0.5000 0.5000 Fe
0.5000 0.5000 0.0000 Fe
0.0000 0.0000 0.5000 Cu
0.0000 0.5000 0.0000 Cu
0.1919 0.7238 0.4681 O
0.2443 0.2762 0.9681 O
0.2622 0.2867 0.5246 O
0.2622 0.7376 0.9754 O
0.7378 0.2624 0.0246 O
0.7378 0.7133 0.4754 O
0.7557 0.7238 0.0319 O
0.8081 0.2762 0.5319 O
```

# 3
For Li3Mn4B4O12, the GGA+U geometry in the Materials Project gives the theoretical PXRD pattern in this record (copper Kα).

Top 10 peaks for 10 to 90 degrees two-theta, by intensity:
| two_theta | intensity |
| --- | --- |
| 33.97 | 100 |
| 20.22 | 74 |
| 22.64 | 60 |
| 40.67 | 49 |
| 21.93 | 39 |
| 34.09 | 29 |
| 39.80 | 22 |
| 20.74 | 21 |
| 34.49 | 20 |
| 37.58 | 20 |

Structure:
```
Li3Mn4B4O12
1.0
5.2609 0.0000 0.0000
2.6043 5.5985 0.0000
0.1549 3.0329 8.5668
Li Mn B O
3 4 4 12
Direct
0.0000 0.0000 0.0000 Li
0.1452 0.3434 0.2786 Li
0.6358 0.3693 0.7638 Li
0.0100 0.9345 0.6690 Mn
0.1304 0.4334 0.5862 Mn
0.5186 0.9206 0.1939 Mn
0.6125 0.4413 0.0857 Mn
0.0232 0.9225 0.3466 B
0.1156 0.4245 0.9203 B
0.4976 0.9681 0.8501 B
0.6186 0.4309 0.4200 B
0.2196 0.5134 0.7809 O
0.2442 0.9796 0.3555 O
0.2663 0.3646 0.0625 O
0.3080 0.0672 0.7126 O
0.3668 0.4147 0.4118 O
0.4123 0.8583 0.9880 O
0.7274 0.5084 0.2829 O
0.7478 0.9881 0.8486 O
0.7770 0.3606 0.5624 O
0.8596 0.9995 0.2048 O
0.8761 0.3888 0.9118 O
0.9440 0.8021 0.4879 O
```

# 4
For LiMn4Co2O12, the GGA+U geometry in the Materials Project gives the theoretical PXRD pattern in this record (copper Kα).

Top 10 peaks for 10 to 90 degrees two-theta, by intensity:
| two_theta | intensity |
| --- | --- |
| 17.34 | 100 |
| 43.89 | 13 |
| 39.72 | 13 |
| 36.82 | 12 |
| 45.24 | 12 |
| 36.29 | 12 |
| 50.74 | 11 |
| 57.01 | 7 |
| 35.45 | 6 |
| 66.06 | 4 |

Structure:
```
LiMn4Co2O12
1.0
5.0608 0.0000 0.0000
2.5221 4.3911 0.0000
0.3110 -0.1730 10.2303
Li Mn Co O
1 4 2 12
Direct
0.0000 0.0000 0.0000 Li
0.1648 0.5133 0.7487 Mn
0.1690 0.0074 0.2584 Mn
0.8337 0.1756 0.7416 Mn
0.8379 0.6775 0.2514 Mn
0.4984 0.8433 0.7451 Co
0.5034 0.3409 0.2549 Co
0.1510 0.1787 0.8450 O
0.1601 0.6971 0.1513 O
0.1611 0.3498 0.3468 O
0.1656 0.8347 0.6491 O
0.4945 0.5093 0.8417 O
0.4998 0.6792 0.3464 O
0.5025 0.1781 0.6536 O
0.5093 0.0022 0.1583 O
0.8404 0.8553 0.8482 O
0.8400 0.9960 0.3515 O
0.8441 0.5074 0.6526 O
0.8497 0.3284 0.1555 O
```